Record 1
SmErPd2: computed PXRD pattern (Cu Kα (λ = 1.5418 Å)), based on a DFT-relaxed cell (GGA-PBE, Alexandria).
Kinematic intensities with the Lorentz-polarization factor, no thermal factor.

Structure:
Unit cell a=4.567 b=3.774 c=10.613 alpha=90.00 beta=90.00 gamma=90.00
Space group Amm2 (No. 38)
Unique sites:
Sm1 0.000 0.000 0.000 x2
Er1 0.500 0.000 0.275 x2
Pd1 0.000 0.000 0.726 x2
Pd2 0.500 0.000 0.554 x2

Top 10 peaks for 15° ≤ 2θ ≤ 90°, in order of falling intensity:
hkl 1 1 1, 31.9 deg, intensity 100.0; hkl 1 1 3, 40.1 deg, intensity 63.4; hkl 2 0 0, 39.5 deg, intensity 32.1; hkl 0 0 4, 33.8 deg, intensity 30.9; hkl 0 1 3, 34.8 deg, intensity 21.2; hkl 0 2 0, 48.2 deg, intensity 18.0; hkl 1 0 4, 39.3 deg, intensity 17.4; hkl 2 0 4, 52.9 deg, intensity 17.2; hkl 2 2 0, 64.0 deg, intensity 15.3; hkl 2 1 7, 80.1 deg, intensity 13.1

Record 2
Pm3Ho7Er2: computed PXRD pattern (Cu Kα (λ = 1.5418 Å)), based on a DFT-relaxed cell (GGA-PBE, Alexandria).
Kinematic intensities with the Lorentz-polarization factor, no thermal factor.

Structure:
Unit cell a=5.803 b=3.550 c=18.705 alpha=90.00 beta=93.12 gamma=90.00
Space group P2/m (No. 10)
Unique sites:
Pm1 0.000 0.000 0.000 x1
Pm2 0.277 0.500 0.633 x2
Ho1 0.191 0.500 0.144 x2
Ho2 0.243 0.000 0.463 x2
Ho3 0.306 0.000 0.823 x2
Ho4 0.500 0.500 0.000 x1
Er1 0.212 0.000 0.293 x2

Top 10 peaks for 15° ≤ 2θ ≤ 90°, in order of falling intensity:
hkl 1 1 2, 31.3 deg, intensity 100.0; hkl 2 0 0, 30.8 deg, intensity 57.1; hkl 1 0 -6, 31.9 deg, intensity 48.2; hkl 1 1 -4, 34.9 deg, intensity 39.8; hkl 1 0 6, 33.4 deg, intensity 34.9; hkl 2 0 -1, 31.0 deg, intensity 34.6; hkl 3 0 -6, 54.5 deg, intensity 30.7; hkl 0 1 4, 31.7 deg, intensity 30.0; hkl 0 0 6, 28.7 deg, intensity 27.5; hkl 1 2 -6, 61.9 deg, intensity 24.0

Record 3
Ca5TlPd2: computed PXRD pattern (Cu Kα (λ = 1.5418 Å)), based on a DFT-relaxed cell (GGA-PBE, Alexandria).
Kinematic intensities with the Lorentz-polarization factor, no thermal factor.

Structure:
Unit cell a=7.941 b=7.941 c=14.457 alpha=90.00 beta=90.00 gamma=90.00
Space group I4/mcm (No. 140)
Unique sites:
Ca1 0.000 0.000 0.000 x4
Ca2 0.167 0.333 0.136 x16
Tl1 0.000 0.000 0.250 x4
Pd1 0.127 0.373 0.500 x8

Top 10 peaks for 15° ≤ 2θ ≤ 90°, in order of falling intensity:
hkl 1 1 2, 20.0 deg, intensity 100.0; hkl 2 1 3, 31.3 deg, intensity 71.3; hkl 3 1 0, 35.8 deg, intensity 68.4; hkl 2 0 4, 33.5 deg, intensity 43.3; hkl 3 1 4, 43.9 deg, intensity 38.3; hkl 1 1 6, 40.7 deg, intensity 29.9; hkl 3 1 8, 63.4 deg, intensity 24.3; hkl 2 1 5, 40.2 deg, intensity 22.0; hkl 4 0 2, 47.5 deg, intensity 21.3; hkl 0 0 4, 24.6 deg, intensity 20.2